Starting from a crystal structure in Alexandria, relaxed with PBE, the PXRD pattern of CdGa4O7 was simulated for Cu Kα (λ = 1.5418 Å).
No peak broadening, texture or thermal motion is included.

Cell and atoms:
Cell lengths 13.508, 5.584, 5.262 Å; angles 90.00, 90.00, 90.00 degrees
Element x y z (fractional)
Cd: 0.000 0.153 0.000
Cd: 0.500 0.847 0.500
Ga: 0.124 0.666 0.158
Ga: 0.248 0.832 0.638
Ga: 0.252 0.168 0.138
Ga: 0.376 0.334 0.658
Ga: 0.624 0.334 0.658
Ga: 0.748 0.168 0.138
Ga: 0.752 0.832 0.638
Ga: 0.876 0.666 0.158
O: 0.000 0.770 0.041
O: 0.136 0.343 0.075
O: 0.137 0.720 0.494
O: 0.218 0.867 0.989
O: 0.282 0.133 0.489
O: 0.363 0.280 0.994
O: 0.364 0.657 0.575
O: 0.500 0.230 0.541
O: 0.636 0.657 0.575
O: 0.637 0.280 0.994
O: 0.718 0.133 0.489
O: 0.782 0.867 0.989
O: 0.863 0.720 0.494
O: 0.864 0.343 0.075

Most intense lines, 2θ from 10° to 80°, by intensity:
2theta  Rel. int.  index
18.09  100  1 0 1
35.44  47  4 1 1
30.95  36  4 1 0
25.41  33  3 1 0
36.43  25  0 2 1
34.08  24  0 0 2
56.45  21  4 3 0
26.76  19  2 1 1
23.23  18  0 1 1
32.06  16  0 2 0